Entry 1:
This entry pairs a crystal structure of Cs2ZrI5Cl with its calculated powder XRD pattern. Radiation: Cu Kα, 1.54184 Å. Structure: a PBE-relaxed structure.

Crystal structure
```
9
Lattice="-4.241 4.241 5.833 4.241 -4.241 5.833 4.241 4.241 -5.833" Properties=species:S:1:pos:R:3 pbc="T T T"
Cs 4.241 0.000 0.000
Cs 0.000 4.241 0.000
Zr 0.000 0.000 2.973
I 0.000 0.000 0.072
I 2.191 2.191 -2.912
I 2.049 -2.049 2.921
I -2.049 2.049 2.921
I 2.049 2.049 2.921
Cl 0.000 0.000 5.421
```

Top 8 peaks for 2θ = 10–90°, most intense first:
two_theta, d/Å, I (rel.)
25.98, 3.430, 100
29.80, 2.999, 53
43.28, 2.091, 36
50.61, 1.804, 30
30.66, 2.916, 24
42.64, 2.120, 19
12.91, 6.860, 19
53.43, 1.715, 19


Entry 2:
This entry pairs a crystal structure of TbTlIn with its calculated powder XRD pattern. Radiation: Cu Kα, 1.54184 Å. Structure: a PBE-relaxed structure.

Crystal structure
```
6
Lattice="4.756 0.000 0.000 2.358 5.863 0.000 2.364 1.575 5.792" Properties=species:S:1:pos:R:3 pbc="T T T"
Tb 1.183 1.544 1.201
Tb 8.295 5.893 4.592
Tl 3.551 4.125 1.004
Tl 5.928 3.313 4.789
In 3.551 2.177 3.455
In 5.927 5.260 2.337
```

Top 8 peaks for 2θ = 10–90°, most intense first:
two_theta, d/Å, I (rel.)
32.42, 2.762, 100
34.15, 2.626, 64
34.27, 2.617, 63
37.83, 2.378, 61
32.78, 2.732, 53
31.63, 2.829, 44
29.22, 3.056, 37
64.94, 1.436, 29


Entry 3:
This entry pairs a crystal structure of CePmGeAu with its calculated powder XRD pattern. Radiation: Cu Kα, 1.54184 Å. Structure: a PBE-relaxed structure.

Crystal structure
```
4
Lattice="4.421 0.000 0.000 0.000 2.090 5.579 0.000 -2.090 5.579" Properties=species:S:1:pos:R:3 pbc="T T T"
Ce 0.000 0.000 0.000
Pm 2.210 0.000 3.094
Ge 2.210 0.000 6.172
Au 0.000 0.000 8.020
```

Top 8 peaks for 2θ = 10–90°, most intense first:
two_theta, d/Å, I (rel.)
30.51, 2.930, 100
38.26, 2.352, 69
32.09, 2.789, 27
40.82, 2.210, 26
52.89, 1.731, 26
32.22, 2.778, 25
38.15, 2.359, 23
43.30, 2.090, 22


Entry 4:
This entry pairs a crystal structure of Pm3NpAg3Se8 with its calculated powder XRD pattern. Radiation: Cu Kα, 1.54184 Å. Structure: a PBE-relaxed structure.

Crystal structure
```
15
Lattice="6.818 -4.274 0.000 6.818 4.274 0.000 -4.161 0.000 6.907" Properties=species:S:1:pos:R:3 pbc="T T T"
Pm 0.000 0.000 0.000
Pm 1.328 2.137 3.454
Pm 1.328 -2.137 3.454
Np 6.818 0.000 0.000
Ag 3.409 2.137 0.000
Ag 3.409 -2.137 0.000
Ag 4.737 0.000 3.454
Se 2.394 0.000 1.722
Se 0.340 0.000 5.231
Se 5.791 2.076 1.678
Se 3.684 2.076 5.229
Se 5.791 -2.076 1.678
Se 3.684 -2.076 5.229
Se 9.134 0.000 1.676
Se 7.080 0.000 5.185
```

Top 8 peaks for 2θ = 10–90°, most intense first:
two_theta, d/Å, I (rel.)
30.57, 2.925, 100
42.30, 2.137, 41
45.21, 2.006, 34
53.08, 1.725, 21
12.83, 6.901, 13
70.06, 1.343, 12
13.92, 6.363, 9
79.46, 1.206, 8


Entry 5:
This entry pairs a crystal structure of La5GaPd with its calculated powder XRD pattern. Radiation: Cu Kα, 1.54184 Å. Structure: a PBE-relaxed structure.

Crystal structure
```
14
Lattice="4.859 -3.963 0.000 4.859 3.963 0.000 -2.568 0.000 11.225" Properties=species:S:1:pos:R:3 pbc="T T T"
La 2.106 1.772 1.625
La 2.933 3.537 8.419
La 2.624 1.242 5.147
La 5.810 1.242 0.465
La 0.822 -1.772 7.237
La 6.329 1.772 3.988
La 1.340 -1.242 10.760
La 4.526 -1.242 6.078
La 4.217 -3.537 2.806
La 5.045 -1.772 9.600
Ga 2.933 0.417 8.419
Ga 4.217 -0.417 2.806
Pd 0.000 0.000 0.000
Pd -1.284 0.000 5.612
```

Top 8 peaks for 2θ = 10–90°, most intense first:
two_theta, d/Å, I (rel.)
29.80, 2.998, 100
29.37, 3.041, 64
33.28, 2.692, 49
35.27, 2.545, 21
39.34, 2.290, 18
46.71, 1.945, 16
35.70, 2.515, 15
50.11, 1.820, 12


What did the fourth record say?
This entry pairs a crystal structure of Pm3NpAg3Se8 with its calculated powder XRD pattern. Radiation: Cu Kα, 1.54184 Å. Structure: a PBE-relaxed structure.

Crystal structure
```
15
Lattice="6.818 -4.274 0.000 6.818 4.274 0.000 -4.161 0.000 6.907" Properties=species:S:1:pos:R:3 pbc="T T T"
Pm 0.000 0.000 0.000
Pm 1.328 2.137 3.454
Pm 1.328 -2.137 3.454
Np 6.818 0.000 0.000
Ag 3.409 2.137 0.000
Ag 3.409 -2.137 0.000
Ag 4.737 0.000 3.454
Se 2.394 0.000 1.722
Se 0.340 0.000 5.231
Se 5.791 2.076 1.678
Se 3.684 2.076 5.229
Se 5.791 -2.076 1.678
Se 3.684 -2.076 5.229
Se 9.134 0.000 1.676
Se 7.080 0.000 5.185
```

Top 8 peaks for 2θ = 10–90°, most intense first:
two_theta, d/Å, I (rel.)
30.57, 2.925, 100
42.30, 2.137, 41
45.21, 2.006, 34
53.08, 1.725, 21
12.83, 6.901, 13
70.06, 1.343, 12
13.92, 6.363, 9
79.46, 1.206, 8